Entry 1:
Structure and simulated powder diffractogram of Mn2SbOs (a structure optimized by DFT (PBE); Cu Kα X-rays).
Lines closer than 0.1° are merged.

Cell: 5.5741 5.5677 4.6691 Å, 90.00 126.49 90.00°
Space group C2 (No. 5)
Inequivalent atoms, fractional coordinates:
Mn  0.0000  0.0000  0.0000 (multiplicity 2)
Mn  0.0000  0.2503  0.5000 (multiplicity 2)
Sb  0.0000  0.5002  0.0000 (multiplicity 2)
Os  0.0000  0.7519  0.5000 (multiplicity 2)

Main lines, low angle first (10° ≤ 2θ ≤ 90°):
25.54 deg, d 3.488, I 52, hkl 1 1 -1; 40.31 deg, d 2.238, I 100, hkl 2 0 0; 40.36 deg, d 2.235, I 33, hkl 2 0 -2; 42.81 deg, d 2.112, I 14, hkl 1 1 1; 46.08 deg, d 1.970, I 45, hkl 2 2 -1; 48.51 deg, d 1.877, I 19, hkl 0 0 2; 53.42 deg, d 1.715, I 15, hkl 1 3 0; 67.22 deg, d 1.393, I 14, hkl 0 4 0; 81.34 deg, d 1.183, I 17, hkl 2 4 0; 81.45 deg, d 1.182, I 17, hkl 4 2 -3

***

Entry 2:
Structure and simulated powder diffractogram of MnSb2OsW (a structure optimized by DFT (PBE); Cu Kα X-rays).
Lines closer than 0.1° are merged.

Cell: 5.1455 5.1455 4.6319 Å, 90.00 90.00 90.00°
Space group P4/mmm (No. 123)
Inequivalent atoms, fractional coordinates:
Mn  0.0000  0.0000  0.0000 (multiplicity 1)
Sb  0.0000  0.5000  0.5000 (multiplicity 2)
Os  0.5000  0.5000  0.0000 (multiplicity 1)
W  0.0000  0.0000  0.5000 (multiplicity 1)

Main lines, low angle first (10° ≤ 2θ ≤ 90°):
19.16 deg, d 4.632, I 16, hkl 0 0 1; 24.47 deg, d 3.638, I 18, hkl 1 1 0; 25.88 deg, d 3.443, I 93, hkl 1 0 1; 31.26 deg, d 2.861, I 56, hkl 1 1 1; 34.87 deg, d 2.573, I 100, hkl 2 0 0; 38.89 deg, d 2.316, I 37, hkl 0 0 2; 43.94 deg, d 2.061, I 47, hkl 2 1 1; 50.15 deg, d 1.819, I 36, hkl 2 2 0; 53.21 deg, d 1.721, I 59, hkl 2 0 2; 65.21 deg, d 1.431, I 32, hkl 2 2 2

***

Entry 3:
Structure and simulated powder diffractogram of ScMnOs (a structure optimized by DFT (PBE); Cu Kα X-rays).
Lines closer than 0.1° are merged.

Cell: 5.0688 5.1570 7.2188 Å, 90.00 90.00 90.00°
Space group Imma (No. 74)
Inequivalent atoms, fractional coordinates:
Sc  0.0000  0.2500  0.1257 (multiplicity 4)
Mn  0.2500  0.2500  0.7500 (multiplicity 4)
Os  0.0000  0.0000  0.5000 (multiplicity 4)

Main lines, low angle first (10° ≤ 2θ ≤ 90°):
21.42 deg, d 4.148, I 100, hkl 1 0 1; 24.67 deg, d 3.609, I 25, hkl 0 0 2; 35.42 deg, d 2.534, I 18, hkl 2 0 0; 41.22 deg, d 2.190, I 75, hkl 1 2 1; 41.56 deg, d 2.173, I 48, hkl 1 0 3; 43.11 deg, d 2.098, I 41, hkl 0 2 2; 43.64 deg, d 2.074, I 39, hkl 2 0 2; 50.52 deg, d 1.807, I 26, hkl 2 2 0; 67.54 deg, d 1.387, I 17, hkl 3 2 1; 74.26 deg, d 1.277, I 22, hkl 2 2 4

***

Entry 4:
Structure and simulated powder diffractogram of Sc3MnOs (a structure optimized by DFT (PBE); Cu Kα X-rays).
Lines closer than 0.1° are merged.

Cell: 5.0142 5.0142 5.0142 Å, 90.00 90.00 90.00°
Space group Pm-3m (No. 221)
Inequivalent atoms, fractional coordinates:
Sc  0.0000  0.0000  0.5000 (multiplicity 3)
Mn  0.5000  0.5000  0.5000 (multiplicity 1)
Os  0.0000  0.0000  0.0000 (multiplicity 1)

Main lines, low angle first (10° ≤ 2θ ≤ 90°):
17.69 deg, d 5.014, I 90, hkl 1 0 0; 25.12 deg, d 3.546, I 100, hkl 1 1 0; 35.82 deg, d 2.507, I 73, hkl 2 0 0; 40.22 deg, d 2.242, I 46, hkl 2 1 0; 44.25 deg, d 2.047, I 45, hkl 2 1 1; 51.55 deg, d 1.773, I 50, hkl 2 2 0; 54.93 deg, d 1.671, I 24, hkl 3 0 0; 58.18 deg, d 1.586, I 20, hkl 3 1 0; 70.24 deg, d 1.340, I 23, hkl 3 2 1; 86.88 deg, d 1.121, I 21, hkl 4 2 0

***

Entry 5:
Structure and simulated powder diffractogram of MnOs2Se (a structure optimized by DFT (PBE); Cu Kα X-rays).
Lines closer than 0.1° are merged.

Cell: 2.8182 2.8182 24.9317 Å, 90.00 90.00 120.00°
Space group R3m (No. 160, hexagonal axes)
Inequivalent atoms, fractional coordinates:
Mn  0.0000  0.0000  0.0000 (multiplicity 3)
Os  0.0000  0.0000  0.2476 (multiplicity 3)
Os  0.0000  0.0000  0.4975 (multiplicity 3)
Se  0.0000  0.0000  0.7381 (multiplicity 3)

Main lines, low angle first (10° ≤ 2θ ≤ 90°):
10.65 deg, d 8.311, I 67, hkl 0 0 3; 37.01 deg, d 2.429, I 14, hkl 1 0 1; 39.66 deg, d 2.273, I 100, hkl 1 0 4; 41.18 deg, d 2.192, I 13, hkl 0 1 5; 43.56 deg, d 2.078, I 24, hkl 0 0 12; 47.31 deg, d 1.922, I 59, hkl 0 1 8; 66.34 deg, d 1.409, I 22, hkl 1 1 0; 71.89 deg, d 1.313, I 15, hkl 1 0 16; 80.14 deg, d 1.198, I 13, hkl 0 2 4; 82.76 deg, d 1.166, I 22, hkl 1 1 12

***

Entry 6:
Structure and simulated powder diffractogram of MnOs2Se6 (a structure optimized by DFT (PBE); Cu Kα X-rays).
Lines closer than 0.1° are merged.

Cell: 10.6464 10.6464 5.5976 Å, 90.00 90.00 120.00°
Space group P-3m1 (No. 164)
Inequivalent atoms, fractional coordinates:
Mn  0.0000  0.0000  0.0000 (multiplicity 1)
Mn  0.3333  0.6667  0.4739 (multiplicity 2)
Os  0.0000  0.3649  0.0000 (multiplicity 6)
Se  0.1065  0.5532  0.6984 (multiplicity 6)
Se  0.1198  0.2396  0.7771 (multiplicity 6)
Se  0.2231  0.4463  0.2425 (multiplicity 6)

Main lines, low angle first (10° ≤ 2θ ≤ 90°):
15.83 deg, d 5.598, I 43, hkl 0 0 1; 16.65 deg, d 5.323, I 19, hkl 1 1 0; 23.06 deg, d 3.857, I 38, hkl 1 1 1; 33.26 deg, d 2.694, I 100, hkl 3 0 1; 43.75 deg, d 2.069, I 64, hkl 0 3 2; 45.86 deg, d 1.979, I 15, hkl 2 3 1; 51.50 deg, d 1.774, I 32, hkl 3 3 0; 57.81 deg, d 1.595, I 15, hkl 0 3 3; 62.70 deg, d 1.482, I 12, hkl 0 6 1; 69.83 deg, d 1.347, I 10, hkl 6 0 2